Calculated powder diffraction line list
Compound: LiFeSe4O10
Radiation: Cu Ka
Structure: a cell relaxed with GGA+U
No peak broadening, texture or thermal motion is included.

Crystal structure
Lattice parameters (Å, degrees): 6.0964 6.9265 10.4956 90.00 90.00 90.00
Space group Pnc2 (No. 30)
One atom of each set of equivalent atoms:
Li 0.0000 0.0000 0.0000 (multiplicity 2)
Fe 0.5000 0.0000 0.8760 (multiplicity 2)
Se 0.2180 0.1340 0.2779 (multiplicity 4)
Se 0.2795 0.6387 0.0880 (multiplicity 4)
O 0.0000 0.0000 0.3703 (multiplicity 2)
O 0.0823 0.2050 0.1470 (multiplicity 4)
O 0.2212 0.1611 0.8731 (multiplicity 4)
O 0.3164 0.6482 0.5086 (multiplicity 4)
O 0.4020 0.6864 0.2322 (multiplicity 4)
O 0.5000 0.0000 0.5063 (multiplicity 2)

The 10 most intense peaks (2θ = 10–90°), sorted by position:
hkl 1 1 1, 21.2°, d 4.195, intensity 30
hkl 1 1 2, 25.8°, d 3.449, intensity 100
hkl 0 1 3, 28.6°, d 3.123, intensity 32
hkl 2 0 0, 29.3°, d 3.048, intensity 15
hkl 1 2 1, 30.9°, d 2.894, intensity 76
hkl 2 1 0, 32.1°, d 2.790, intensity 15
hkl 2 1 3, 41.4°, d 2.181, intensity 17
hkl 3 1 2, 49.9°, d 1.828, intensity 15
hkl 1 2 5, 53.2°, d 1.722, intensity 27
hkl 2 3 3, 56.5°, d 1.629, intensity 16

Calculated powder diffraction line list
Compound: Li6Mn3CuP6O24
Radiation: Cu Ka
Structure: a cell relaxed with GGA+U
No peak broadening, texture or thermal motion is included.

Crystal structure
Lattice parameters (Å, degrees): 8.4264 8.4776 8.8075 61.25 61.77 62.47
Space group P1 (No. 1)
One atom of each set of equivalent atoms:
Li 0.0000 0.0000 0.0000 (multiplicity 1)
Li 0.0833 0.5270 0.8461 (multiplicity 1)
Li 0.2693 0.8413 0.6301 (multiplicity 1)
Li 0.4754 0.6936 0.3022 (multiplicity 1)
Li 0.7306 0.3656 0.1279 (multiplicity 1)
Li 0.9075 0.0622 0.4960 (multiplicity 1)
Mn 0.3891 0.9956 0.7781 (multiplicity 1)
Mn 0.6060 0.2090 0.9971 (multiplicity 1)
Mn 0.8953 0.4930 0.2908 (multiplicity 1)
Cu 0.1025 0.7031 0.4810 (multiplicity 1)
P 0.1994 0.1000 0.1811 (multiplicity 1)
P 0.3050 0.5993 0.0909 (multiplicity 1)
P 0.5004 0.3916 0.6091 (multiplicity 1)
P 0.6946 0.9013 0.3866 (multiplicity 1)
P 0.7842 0.8177 0.8914 (multiplicity 1)
P 0.9971 0.3034 0.6919 (multiplicity 1)
O 0.0081 0.2592 0.2237 (multiplicity 1)
O 0.0515 0.4676 0.6653 (multiplicity 1)
O 0.1327 0.5455 0.1356 (multiplicity 1)
O 0.1526 0.1071 0.7230 (multiplicity 1)
O 0.1966 0.9297 0.3662 (multiplicity 1)
O 0.1995 0.0604 0.0301 (multiplicity 1)
O 0.2990 0.6469 0.2411 (multiplicity 1)
O 0.3016 0.7683 0.9076 (multiplicity 1)
O 0.3389 0.5831 0.5927 (multiplicity 1)
O 0.3749 0.1491 0.1332 (multiplicity 1)
O 0.4445 0.2306 0.6360 (multiplicity 1)
O 0.4936 0.4358 0.0654 (multiplicity 1)
O 0.5011 0.9217 0.5330 (multiplicity 1)
O 0.5586 0.3536 0.7667 (multiplicity 1)
O 0.6124 0.8625 0.8444 (multiplicity 1)
O 0.6593 0.4164 0.4170 (multiplicity 1)
O 0.7005 0.0866 0.2118 (multiplicity 1)
O 0.7391 0.7347 0.3299 (multiplicity 1)
O 0.7639 0.9708 0.9541 (multiplicity 1)
O 0.8071 0.6190 0.0411 (multiplicity 1)
O 0.8383 0.2800 0.8856 (multiplicity 1)
O 0.8516 0.8827 0.4437 (multiplicity 1)
O 0.9430 0.3288 0.5395 (multiplicity 1)
O 0.9706 0.8125 0.7275 (multiplicity 1)

The 10 most intense peaks (2θ = 10–90°), sorted by position:
hkl 0 1 -1, 20.1°, d 4.410, intensity 66
hkl 1 1 2, 20.2°, d 4.391, intensity 85
hkl 1 2 1, 21.0°, d 4.234, intensity 56
hkl 2 1 1, 21.1°, d 4.210, intensity 56
hkl 0 1 2, 23.3°, d 3.811, intensity 59
hkl 1 0 2, 23.5°, d 3.782, intensity 52
hkl 0 2 1, 24.0°, d 3.713, intensity 48
hkl 2 0 1, 24.2°, d 3.683, intensity 51
hkl 1 2 0, 24.5°, d 3.638, intensity 100
hkl 0 2 2, 28.6°, d 3.120, intensity 38

Calculated powder diffraction line list
Compound: FeH2O2
Radiation: Cu Ka
Structure: a cell relaxed with GGA+U
No peak broadening, texture or thermal motion is included.

Crystal structure
Lattice parameters (Å, degrees): 5.7392 3.3017 4.6482 90.00 95.32 90.00
Space group C2 (No. 5)
One atom of each set of equivalent atoms:
Fe 0.0000 0.0000 0.0000 (multiplicity 2)
H 0.2057 0.4059 0.4270 (multiplicity 4)
O 0.1913 0.4926 0.2244 (multiplicity 4)

The 10 most intense peaks (2θ = 10–90°), sorted by position:
hkl 0 0 1, 19.2°, d 4.628, intensity 100
hkl 1 1 0, 31.3°, d 2.859, intensity 40
hkl 2 0 -1, 35.4°, d 2.539, intensity 35
hkl 1 1 1, 37.7°, d 2.383, intensity 71
hkl 2 0 -2, 48.3°, d 1.886, intensity 15
hkl 1 1 -2, 49.5°, d 1.841, intensity 15
hkl 1 1 2, 52.0°, d 1.759, intensity 19
hkl 0 2 0, 55.7°, d 1.650, intensity 30
hkl 3 1 -1, 57.8°, d 1.595, intensity 13
hkl 1 1 -3, 67.7°, d 1.384, intensity 18